[1]
# TmAuSO
Computed powder XRD pattern, CuKα. Input: a GGA-PBE-relaxed structure.
Intensities are scaled so that the largest is 100.

Atomic structure:
```
data_TmAuSO
_cell_length_a 5.4475
_cell_length_b 5.4475
_cell_length_c 9.0943
_cell_angle_alpha 90.00
_cell_angle_beta 90.00
_cell_angle_gamma 90.00
_space_group_name_H-M_alt 'P -4 2 m'
_space_group_IT_number 111
_space_group_name_Hall 'P -4 2'
loop_
_atom_site_label
_atom_site_type_symbol
_atom_site_fract_x
_atom_site_fract_y
_atom_site_fract_z
_atom_site_occupancy
Tm1 Tm 0.2499 0.2499 0.1202 1
Au1 Au 0.0000 0.0000 0.5000 1
Au2 Au 0.0000 0.5000 0.5000 1
Au3 Au 0.5000 0.5000 0.5000 1
S1 S 0.2488 0.2488 0.7192 1
O1 O 0.0000 0.0000 0.0000 1
O2 O 0.0000 0.5000 0.0000 1
O3 O 0.5000 0.5000 0.0000 1
```

Main lines, most intense first (10° ≤ 2θ ≤ 90°):
| Position (°2θ) | I_rel |
| --- | --- |
| 34.4 | 100 |
| 30.4 | 51 |
| 38.5 | 46 |
| 52.4 | 44 |
| 19.5 | 42 |
| 47.2 | 40 |
| 29.5 | 31 |
| 37.8 | 21 |
| 56.6 | 21 |
| 79.4 | 19 |
| 57.2 | 17 |
| 71.3 | 17 |

[2]
# ScAuSeO
Computed powder XRD pattern, CuKα. Input: a GGA-PBE-relaxed structure.
Intensities are scaled so that the largest is 100.

Atomic structure:
```
data_ScAuSeO
_cell_length_a 7.3434
_cell_length_b 7.1178
_cell_length_c 6.2339
_cell_angle_alpha 90.00
_cell_angle_beta 105.01
_cell_angle_gamma 90.00
_space_group_name_H-M_alt 'P 1 21/c 1'
_space_group_IT_number 14
_space_group_name_Hall '-P 2ybc'
loop_
_atom_site_label
_atom_site_type_symbol
_atom_site_fract_x
_atom_site_fract_y
_atom_site_fract_z
_atom_site_occupancy
Sc1 Sc 0.0377 0.1183 0.2131 1
Au1 Au 0.4783 0.2256 0.2631 1
Se1 Se 0.2684 0.0099 0.6321 1
O1 O 0.0273 0.6579 0.6151 1
```

Main lines, most intense first (10° ≤ 2θ ≤ 90°):
| Position (°2θ) | I_rel |
| --- | --- |
| 12.5 | 100 |
| 35.7 | 61 |
| 25.1 | 56 |
| 29.1 | 55 |
| 28.1 | 54 |
| 29.7 | 42 |
| 43.7 | 37 |
| 39.2 | 27 |
| 51.5 | 26 |
| 33.7 | 23 |
| 49.5 | 20 |
| 46.1 | 19 |

[3]
# ScAuSeO
Computed powder XRD pattern, CuKα. Input: a GGA-PBE-relaxed structure.
Intensities are scaled so that the largest is 100.

Atomic structure:
```
data_ScAuSeO
_cell_length_a 9.5350
_cell_length_b 5.4004
_cell_length_c 5.4056
_cell_angle_alpha 90.00
_cell_angle_beta 90.00
_cell_angle_gamma 90.00
_space_group_name_H-M_alt 'A e m 2'
_space_group_IT_number 39
_space_group_name_Hall 'A 2 -2b'
loop_
_atom_site_label
_atom_site_type_symbol
_atom_site_fract_x
_atom_site_fract_y
_atom_site_fract_z
_atom_site_occupancy
Sc1 Sc 0.1005 0.2500 0.0000 1
Au1 Au 0.5000 0.0000 0.0011 1
Se1 Se 0.2699 0.2500 0.5013 1
O1 O 0.0000 0.0000 0.2501 1
```

Main lines, most intense first (10° ≤ 2θ ≤ 90°):
| Position (°2θ) | I_rel |
| --- | --- |
| 34.5 | 100 |
| 38.3 | 88 |
| 33.1 | 72 |
| 18.6 | 65 |
| 48.6 | 55 |
| 44.0 | 51 |
| 51.5 | 50 |
| 51.1 | 34 |
| 56.2 | 33 |
| 37.7 | 31 |
| 28.1 | 29 |
| 36.8 | 29 |

[4]
# ScAuSeO
Computed powder XRD pattern, CuKα. Input: a GGA-PBE-relaxed structure.
Intensities are scaled so that the largest is 100.

Atomic structure:
```
data_ScAuSeO
_cell_length_a 5.4964
_cell_length_b 5.4854
_cell_length_c 10.6577
_cell_angle_alpha 90.00
_cell_angle_beta 91.65
_cell_angle_gamma 90.00
_space_group_name_H-M_alt 'P 1 21 1'
_space_group_IT_number 4
_space_group_name_Hall 'P 2yb'
loop_
_atom_site_label
_atom_site_type_symbol
_atom_site_fract_x
_atom_site_fract_y
_atom_site_fract_z
_atom_site_occupancy
Sc1 Sc 0.0028 0.0000 0.0840 1
Sc2 Sc 0.4948 0.0035 0.9141 1
Au1 Au 0.0018 0.0212 0.7350 1
Au2 Au 0.3260 0.2750 0.5036 1
Se1 Se 0.3104 0.2145 0.2767 1
Se2 Se 0.3158 0.3272 0.7314 1
O1 O 0.2484 0.2502 0.0029 1
O2 O 0.2525 0.7509 0.9995 1
```

Main lines, most intense first (10° ≤ 2θ ≤ 90°):
| Position (°2θ) | I_rel |
| --- | --- |
| 22.9 | 100 |
| 33.7 | 56 |
| 24.2 | 48 |
| 36.6 | 45 |
| 24.6 | 45 |
| 46.8 | 33 |
| 33.9 | 32 |
| 34.6 | 32 |
| 18.2 | 27 |
| 37.8 | 25 |
| 37.3 | 24 |
| 40.7 | 22 |